Record 1
Starting from a DFT-relaxed cell (GGA-PBE, Alexandria), the X-ray powder pattern of DyHfAu6 was calculated for a wavelength of 1.5418 Å.
Peak positions follow from Bragg's law for the DFT cell and can differ from measured ones.

Structural model:
Lattice parameters (Å, degrees): 5.0606 5.0606 8.7515 115.36 115.36 51.84
Positions (direct):
Dy (0.0000, 0.0000, 0.0000)
Hf (0.0000, 0.0000, 0.5000)
Au (0.2482, 0.2482, 0.8620)
Au (0.2519, 0.2519, 0.3851)
Au (0.4915, 0.4915, 0.2522)
Au (0.5085, 0.5085, 0.7478)
Au (0.7481, 0.7481, 0.6149)
Au (0.7518, 0.7518, 0.1380)

Largest 6 diffraction maxima, in order of falling intensity, 2θ from 10° to 90°:
36.52°, I 100
36.65°, I 99
40.79°, I 39
41.26°, I 35
71.51°, I 29
45.31°, I 27

=====

Record 2
Starting from a DFT-relaxed cell (GGA-PBE, Alexandria), the X-ray powder pattern of Ac4AlIn12 was calculated for a wavelength of 1.5418 Å.
Peak positions follow from Bragg's law for the DFT cell and can differ from measured ones.

Structural model:
Lattice parameters (Å, degrees): 8.6185 8.6185 8.6185 109.47 109.47 109.47
Positions (direct):
Ac (0.0000, 0.0000, 0.5000)
Ac (0.0000, 0.5000, 0.0000)
Ac (0.5000, 0.0000, 0.0000)
Ac (0.5000, 0.5000, 0.5000)
Al (0.0000, 0.0000, 0.0000)
In (0.0000, 0.2961, 0.2961)
In (0.0000, 0.7039, 0.7039)
In (0.2500, 0.5000, 0.7500)
In (0.2500, 0.7500, 0.5000)
In (0.2961, 0.0000, 0.2961)
In (0.2961, 0.2961, 0.0000)
In (0.5000, 0.2500, 0.7500)
In (0.5000, 0.7500, 0.2500)
In (0.7039, 0.0000, 0.7039)
In (0.7039, 0.7039, 0.0000)
In (0.7500, 0.2500, 0.5000)
In (0.7500, 0.5000, 0.2500)

Largest 6 diffraction maxima, in order of falling intensity, 2θ from 10° to 90°:
31.13°, I 100
36.10°, I 52
61.84°, I 33
51.98°, I 32
25.31°, I 14
87.72°, I 11

=====

Record 3
Starting from a DFT-relaxed cell (GGA-PBE, Alexandria), the X-ray powder pattern of CdC8N6 was calculated for a wavelength of 1.5418 Å.
Peak positions follow from Bragg's law for the DFT cell and can differ from measured ones.

Structural model:
Lattice parameters (Å, degrees): 7.9053 5.5546 10.9650 90.00 90.00 90.00
Positions (direct):
Cd (0.0000, 0.0000, 0.0000)
Cd (0.5000, 0.0000, 0.5000)
C (0.0000, 0.3983, 0.2545)
C (0.0000, 0.4136, 0.6599)
C (0.0000, 0.5864, 0.3401)
C (0.0000, 0.6017, 0.7455)
C (0.1520, 0.3128, 0.6183)
C (0.1520, 0.6872, 0.3817)
C (0.3480, 0.3128, 0.8817)
C (0.3480, 0.6872, 0.1183)
C (0.5000, 0.3983, 0.2455)
C (0.5000, 0.4136, 0.8401)
C (0.5000, 0.5864, 0.1599)
C (0.5000, 0.6017, 0.7545)
C (0.6520, 0.3128, 0.8817)
C (0.6520, 0.6872, 0.1183)
C (0.8480, 0.3128, 0.6183)
C (0.8480, 0.6872, 0.3817)
N (0.0000, 0.2419, 0.1828)
N (0.0000, 0.7581, 0.8172)
N (0.2225, 0.2272, 0.9181)
N (0.2225, 0.7728, 0.0819)
N (0.2775, 0.2272, 0.5819)
N (0.2775, 0.7728, 0.4181)
N (0.5000, 0.2419, 0.3172)
N (0.5000, 0.7581, 0.6828)
N (0.7225, 0.2272, 0.5819)
N (0.7225, 0.7728, 0.4181)
N (0.7775, 0.2272, 0.9181)
N (0.7775, 0.7728, 0.0819)

Largest 6 diffraction maxima, in order of falling intensity, 2θ from 10° to 90°:
21.16°, I 100
13.81°, I 69
22.79°, I 47
32.24°, I 34
26.87°, I 25
16.17°, I 22

=====

Record 4
Starting from a DFT-relaxed cell (GGA-PBE, Alexandria), the X-ray powder pattern of K2TmHfS4 was calculated for a wavelength of 1.5418 Å.
Peak positions follow from Bragg's law for the DFT cell and can differ from measured ones.

Structural model:
Lattice parameters (Å, degrees): 6.7036 3.8418 7.7027 90.00 106.63 90.00
Positions (direct):
K (0.0000, 0.0000, 0.0000)
K (0.5000, 0.5000, 0.0000)
Tm (0.0000, 0.5000, 0.5000)
Hf (0.5000, 0.0000, 0.5000)
S (0.2452, 0.0000, 0.7006)
S (0.2786, 0.5000, 0.3031)
S (0.7214, 0.5000, 0.6969)
S (0.7548, 0.0000, 0.2994)

Largest 6 diffraction maxima, in order of falling intensity, 2θ from 10° to 90°:
31.28°, I 100
11.99°, I 96
27.97°, I 25
42.50°, I 25
39.23°, I 22
24.12°, I 21

=====

Record 5
Starting from a DFT-relaxed cell (GGA-PBE, Alexandria), the X-ray powder pattern of NiBi3Pb was calculated for a wavelength of 1.5418 Å.
Peak positions follow from Bragg's law for the DFT cell and can differ from measured ones.

Structural model:
Lattice parameters (Å, degrees): 10.4574 10.4574 5.4278 104.75 104.75 29.57
Positions (direct):
Ni (0.1762, 0.1762, 0.4298)
Ni (0.8238, 0.8238, 0.5702)
Bi (0.0426, 0.0426, 0.2922)
Bi (0.2005, 0.2005, 0.9524)
Bi (0.3161, 0.3161, 0.5698)
Bi (0.6839, 0.6839, 0.4302)
Bi (0.7995, 0.7995, 0.0476)
Bi (0.9574, 0.9574, 0.7078)
Pb (0.4356, 0.4356, 0.1884)
Pb (0.5644, 0.5644, 0.8116)

Largest 6 diffraction maxima, in order of falling intensity, 2θ from 10° to 90°:
29.83°, I 100
29.73°, I 100
33.01°, I 58
33.59°, I 56
47.80°, I 42
57.72°, I 33